# 1
La2I4N: calculated powder diffractogram (λ = 1.5418 Å (Cu Kα)), based on a crystal structure in Alexandria, relaxed with GGA-PBE.
Neutral-atom scattering factors, no anomalous dispersion.

Largest 12 diffraction maxima, in order of falling intensity, 2θ = 5–70°:
2θ 14.1, d = 6.263 Å, intensity 1000; 2θ 28.7, d = 3.111 Å, intensity 888; 2θ 26.2, d = 3.396 Å, intensity 646; 2θ 37.0, d = 2.428 Å, intensity 628; 2θ 17.9, d = 4.951 Å, intensity 554; 2θ 8.9, d = 9.902 Å, intensity 449; 2θ 32.6, d = 2.746 Å, intensity 360; 2θ 36.4, d = 2.465 Å, intensity 344; 2θ 31.5, d = 2.843 Å, intensity 260; 2θ 30.8, d = 2.903 Å, intensity 260; 2θ 41.3, d = 2.187 Å, intensity 212; 2θ 65.0, d = 1.435 Å, intensity 204

Structure:
a b c (Å): 14.004 14.004 3.584
angles (deg): 90.00 90.00 90.00
Fractional positions:
La (0.085, 0.085, 0.000)
La (0.415, 0.585, 0.500)
La (0.585, 0.415, 0.500)
La (0.915, 0.915, 0.000)
I (0.046, 0.277, 0.500)
I (0.223, 0.546, 0.000)
I (0.277, 0.046, 0.500)
I (0.454, 0.777, 0.000)
I (0.546, 0.223, 0.000)
I (0.723, 0.954, 0.500)
I (0.777, 0.454, 0.000)
I (0.954, 0.723, 0.500)
N (0.000, 0.000, 0.500)
N (0.500, 0.500, 0.000)

# 2
La4NiI2N: calculated powder diffractogram (λ = 1.5418 Å (Cu Kα)), based on a crystal structure in Alexandria, relaxed with GGA-PBE.
Neutral-atom scattering factors, no anomalous dispersion.

Largest 12 diffraction maxima, in order of falling intensity, 2θ = 5–70°:
2θ 29.9, d = 2.984 Å, intensity 1000; 2θ 28.8, d = 3.098 Å, intensity 641; 2θ 44.3, d = 2.045 Å, intensity 397; 2θ 31.9, d = 2.807 Å, intensity 386; 2θ 33.5, d = 2.676 Å, intensity 322; 2θ 31.2, d = 2.869 Å, intensity 265; 2θ 39.7, d = 2.271 Å, intensity 264; 2θ 56.5, d = 1.629 Å, intensity 255; 2θ 56.9, d = 1.619 Å, intensity 226; 2θ 26.2, d = 3.408 Å, intensity 210; 2θ 46.3, d = 1.962 Å, intensity 200; 2θ 55.4, d = 1.657 Å, intensity 199

Structure:
a b c (Å): 7.189 3.924 8.396
angles (deg): 90.00 107.06 90.00
Fractional positions:
La (0.192, 0.000, 0.178)
La (0.264, 0.500, 0.820)
La (0.736, 0.500, 0.180)
La (0.808, 0.000, 0.822)
Ni (0.500, 0.000, 0.000)
I (0.000, 0.000, 0.500)
I (0.500, 0.500, 0.500)
N (0.000, 0.500, 0.000)

# 3
LaNpIN2: calculated powder diffractogram (λ = 1.5418 Å (Cu Kα)), based on a crystal structure in Alexandria, relaxed with GGA-PBE.
Neutral-atom scattering factors, no anomalous dispersion.

Largest 12 diffraction maxima, in order of falling intensity, 2θ = 5–70°:
2θ 31.5, d = 2.842 Å, intensity 1000; 2θ 32.8, d = 2.730 Å, intensity 745; 2θ 28.9, d = 3.085 Å, intensity 704; 2θ 28.8, d = 3.099 Å, intensity 664; 2θ 24.7, d = 3.610 Å, intensity 590; 2θ 53.0, d = 1.728 Å, intensity 509; 2θ 12.2, d = 7.226 Å, intensity 399; 2θ 25.8, d = 3.458 Å, intensity 366; 2θ 43.4, d = 2.084 Å, intensity 279; 2θ 54.5, d = 1.684 Å, intensity 252; 2θ 45.0, d = 2.016 Å, intensity 248; 2θ 37.3, d = 2.409 Å, intensity 231

Structure:
a b c (Å): 7.511 4.168 8.064
angles (deg): 90.00 105.84 90.00
Fractional positions:
La (0.162, 0.250, 0.420)
La (0.838, 0.750, 0.580)
Np (0.134, 0.250, 0.907)
Np (0.866, 0.750, 0.093)
I (0.457, 0.750, 0.755)
I (0.543, 0.250, 0.245)
N (0.003, 0.750, 0.360)
N (0.020, 0.750, 0.895)
N (0.980, 0.250, 0.105)
N (0.997, 0.250, 0.640)

# 4
La4RhI2N: calculated powder diffractogram (λ = 1.5418 Å (Cu Kα)), based on a crystal structure in Alexandria, relaxed with GGA-PBE.
Neutral-atom scattering factors, no anomalous dispersion.

Largest 12 diffraction maxima, in order of falling intensity, 2θ = 5–70°:
2θ 29.5, d = 3.029 Å, intensity 1000; 2θ 29.0, d = 3.078 Å, intensity 487; 2θ 44.3, d = 2.046 Å, intensity 372; 2θ 31.5, d = 2.840 Å, intensity 318; 2θ 33.3, d = 2.694 Å, intensity 239; 2θ 39.3, d = 2.293 Å, intensity 225; 2θ 45.2, d = 2.008 Å, intensity 220; 2θ 54.6, d = 1.682 Å, intensity 162; 2θ 55.9, d = 1.645 Å, intensity 153; 2θ 31.2, d = 2.869 Å, intensity 144; 2θ 39.1, d = 2.306 Å, intensity 112; 2θ 57.2, d = 1.610 Å, intensity 101

Structure:
a b c (Å): 7.133 4.016 8.432
angles (deg): 90.00 106.55 90.00
Fractional positions:
La (0.202, 0.000, 0.177)
La (0.245, 0.500, 0.821)
La (0.755, 0.500, 0.179)
La (0.798, 0.000, 0.823)
Rh (0.500, 0.000, 0.000)
I (0.000, 0.000, 0.500)
I (0.500, 0.500, 0.500)
N (0.000, 0.500, 0.000)

# 5
La2SI2N: calculated powder diffractogram (λ = 1.5418 Å (Cu Kα)), based on a crystal structure in Alexandria, relaxed with GGA-PBE.
Neutral-atom scattering factors, no anomalous dispersion.

Largest 12 diffraction maxima, in order of falling intensity, 2θ = 5–70°:
2θ 28.0, d = 3.185 Å, intensity 1000; 2θ 7.1, d = 12.461 Å, intensity 588; 2θ 23.9, d = 3.725 Å, intensity 535; 2θ 25.3, d = 3.523 Å, intensity 465; 2θ 35.1, d = 2.559 Å, intensity 431; 2θ 31.1, d = 2.874 Å, intensity 382; 2θ 42.3, d = 2.135 Å, intensity 245; 2θ 35.7, d = 2.517 Å, intensity 191; 2θ 32.3, d = 2.770 Å, intensity 182; 2θ 38.1, d = 2.363 Å, intensity 181; 2θ 18.6, d = 4.779 Å, intensity 171; 2θ 53.5, d = 1.714 Å, intensity 166

Structure:
a b c (Å): 4.271 12.461 7.449
angles (deg): 90.00 90.00 90.00
Fractional positions:
La (0.000, 0.068, 0.000)
La (0.000, 0.932, 0.500)
La (0.500, 0.191, 0.408)
La (0.500, 0.809, 0.908)
S (0.500, 0.037, 0.707)
S (0.500, 0.963, 0.207)
I (0.000, 0.379, 0.531)
I (0.000, 0.621, 0.031)
I (0.500, 0.276, 0.000)
I (0.500, 0.724, 0.500)
N (0.000, 0.112, 0.349)
N (0.000, 0.888, 0.849)

# 6
LaSbI2N: calculated powder diffractogram (λ = 1.5418 Å (Cu Kα)), based on a crystal structure in Alexandria, relaxed with GGA-PBE.
Neutral-atom scattering factors, no anomalous dispersion.

Largest 12 diffraction maxima, in order of falling intensity, 2θ = 5–70°:
2θ 27.4, d = 3.252 Å, intensity 1000; 2θ 25.6, d = 3.483 Å, intensity 513; 2θ 29.1, d = 3.071 Å, intensity 392; 2θ 39.2, d = 2.300 Å, intensity 380; 2θ 37.8, d = 2.377 Å, intensity 370; 2θ 52.5, d = 1.742 Å, intensity 319; 2θ 35.1, d = 2.554 Å, intensity 241; 2θ 21.5, d = 4.125 Å, intensity 210; 2θ 60.3, d = 1.535 Å, intensity 209; 2θ 64.0, d = 1.454 Å, intensity 175; 2θ 49.5, d = 1.841 Å, intensity 170; 2θ 43.9, d = 2.062 Å, intensity 137

Structure:
a b c (Å): 6.504 6.504 4.125
angles (deg): 90.00 90.00 90.00
Fractional positions:
La (0.000, 0.000, 0.000)
Sb (0.500, 0.500, 0.500)
I (0.000, 0.500, 0.000)
I (0.500, 0.000, 0.000)
N (0.000, 0.000, 0.500)

# 7
LaSmI2N: calculated powder diffractogram (λ = 1.5418 Å (Cu Kα)), based on a crystal structure in Alexandria, relaxed with GGA-PBE.
Neutral-atom scattering factors, no anomalous dispersion.

Largest 12 diffraction maxima, in order of falling intensity, 2θ = 5–70°:
2θ 28.8, d = 3.099 Å, intensity 1000; 2θ 30.5, d = 2.932 Å, intensity 893; 2θ 41.2, d = 2.191 Å, intensity 418; 2θ 52.1, d = 1.755 Å, intensity 401; 2θ 26.5, d = 3.367 Å, intensity 267; 2θ 40.8, d = 2.211 Å, intensity 217; 2θ 28.3, d = 3.156 Å, intensity 178; 2θ 67.6, d = 1.386 Å, intensity 176; 2θ 59.7, d = 1.549 Å, intensity 138; 2θ 50.7, d = 1.800 Å, intensity 136; 2θ 45.2, d = 2.005 Å, intensity 120; 2θ 62.6, d = 1.485 Å, intensity 117

Structure:
a b c (Å): 4.382 4.382 15.780
angles (deg): 90.00 90.00 90.00
Fractional positions:
La (0.250, 0.250, 0.086)
La (0.750, 0.750, 0.914)
Sm (0.250, 0.250, 0.557)
Sm (0.750, 0.750, 0.443)
I (0.250, 0.250, 0.290)
I (0.250, 0.250, 0.872)
I (0.750, 0.750, 0.128)
I (0.750, 0.750, 0.710)
N (0.250, 0.750, 0.500)
N (0.750, 0.250, 0.500)

# 8
NaLaIO6: calculated powder diffractogram (λ = 1.5418 Å (Cu Kα)), based on a crystal structure in Alexandria, relaxed with GGA-PBE.
Neutral-atom scattering factors, no anomalous dispersion.

Largest 12 diffraction maxima, in order of falling intensity, 2θ = 5–70°:
2θ 25.6, d = 3.474 Å, intensity 1000; 2θ 48.9, d = 1.861 Å, intensity 325; 2θ 32.1, d = 2.793 Å, intensity 305; 2θ 18.3, d = 4.837 Å, intensity 304; 2θ 41.5, d = 2.177 Å, intensity 258; 2θ 53.4, d = 1.717 Å, intensity 255; 2θ 57.1, d = 1.612 Å, intensity 114; 2θ 58.7, d = 1.574 Å, intensity 89; 2θ 68.4, d = 1.371 Å, intensity 64; 2θ 69.4, d = 1.354 Å, intensity 63; 2θ 40.7, d = 2.219 Å, intensity 52; 2θ 36.0, d = 2.497 Å, intensity 48

Structure:
a b c (Å): 5.585 5.585 4.993
angles (deg): 90.00 90.00 120.00
Fractional positions:
Na (0.000, 0.000, 0.000)
La (0.667, 0.333, 0.500)
I (0.333, 0.667, 0.000)
O (0.050, 0.393, 0.217)
O (0.050, 0.656, 0.783)
O (0.344, 0.393, 0.783)
O (0.344, 0.950, 0.217)
O (0.607, 0.656, 0.217)
O (0.607, 0.950, 0.783)

# 9
NaLa6OsI12: calculated powder diffractogram (λ = 1.5418 Å (Cu Kα)), based on a crystal structure in Alexandria, relaxed with GGA-PBE.
Neutral-atom scattering factors, no anomalous dispersion.

Largest 12 diffraction maxima, in order of falling intensity, 2θ = 5–70°:
2θ 27.6, d = 3.237 Å, intensity 1000; 2θ 39.1, d = 2.302 Å, intensity 371; 2θ 39.6, d = 2.276 Å, intensity 359; 2θ 10.0, d = 8.865 Å, intensity 306; 2θ 48.9, d = 1.862 Å, intensity 206; 2θ 23.9, d = 3.724 Å, intensity 193; 2θ 10.8, d = 8.206 Å, intensity 190; 2θ 64.7, d = 1.441 Å, intensity 146; 2θ 64.0, d = 1.454 Å, intensity 143; 2θ 56.9, d = 1.618 Å, intensity 136; 2θ 46.6, d = 1.950 Å, intensity 100; 2θ 23.5, d = 3.780 Å, intensity 65

Structure:
a b c (Å): 10.202 10.202 10.202
angles (deg): 107.10 107.10 107.10
Fractional positions:
Na (0.000, 0.000, 0.000)
La (0.192, 0.395, 0.470)
La (0.395, 0.470, 0.192)
La (0.470, 0.192, 0.395)
La (0.530, 0.808, 0.605)
La (0.605, 0.530, 0.808)
La (0.808, 0.605, 0.530)
Os (0.500, 0.500, 0.500)
I (0.042, 0.348, 0.123)
I (0.123, 0.042, 0.348)
I (0.182, 0.724, 0.575)
I (0.276, 0.425, 0.818)
I (0.348, 0.123, 0.042)
I (0.425, 0.818, 0.276)
I (0.575, 0.182, 0.724)
I (0.652, 0.877, 0.958)
I (0.724, 0.575, 0.182)
I (0.818, 0.276, 0.425)
I (0.877, 0.958, 0.652)
I (0.958, 0.652, 0.877)

# 10
RbNa2LaI6: calculated powder diffractogram (λ = 1.5418 Å (Cu Kα)), based on a crystal structure in Alexandria, relaxed with GGA-PBE.
Neutral-atom scattering factors, no anomalous dispersion.

Largest 12 diffraction maxima, in order of falling intensity, 2θ = 5–70°:
2θ 24.3, d = 3.660 Å, intensity 1000; 2θ 31.7, d = 2.818 Å, intensity 489; 2θ 37.4, d = 2.406 Å, intensity 321; 2θ 41.5, d = 2.175 Å, intensity 254; 2θ 14.5, d = 6.111 Å, intensity 181; 2θ 23.3, d = 3.826 Å, intensity 162; 2θ 45.1, d = 2.011 Å, intensity 139; 2θ 25.9, d = 3.443 Å, intensity 133; 2θ 63.9, d = 1.457 Å, intensity 132; 2θ 12.9, d = 6.887 Å, intensity 109; 2θ 19.8, d = 4.492 Å, intensity 105; 2θ 36.5, d = 2.464 Å, intensity 103

Structure:
a b c (Å): 9.039 9.039 9.039
angles (deg): 54.92 54.92 54.92
Fractional positions:
Rb (0.000, 0.000, 0.000)
Na (0.291, 0.291, 0.291)
Na (0.805, 0.805, 0.805)
La (0.482, 0.482, 0.482)
I (0.073, 0.647, 0.454)
I (0.218, 0.558, 0.880)
I (0.454, 0.073, 0.647)
I (0.558, 0.880, 0.218)
I (0.647, 0.454, 0.073)
I (0.880, 0.218, 0.558)

# 11
NaLaTeI: calculated powder diffractogram (λ = 1.5418 Å (Cu Kα)), based on a crystal structure in Alexandria, relaxed with GGA-PBE.
Neutral-atom scattering factors, no anomalous dispersion.

Largest 12 diffraction maxima, in order of falling intensity, 2θ = 5–70°:
2θ 31.5, d = 2.841 Å, intensity 1000; 2θ 23.4, d = 3.807 Å, intensity 402; 2θ 41.1, d = 2.198 Å, intensity 316; 2θ 52.6, d = 1.739 Å, intensity 250; 2θ 10.4, d = 8.537 Å, intensity 233; 2θ 68.9, d = 1.364 Å, intensity 200; 2θ 60.5, d = 1.531 Å, intensity 183; 2θ 25.6, d = 3.477 Å, intensity 165; 2θ 48.9, d = 1.861 Å, intensity 137; 2θ 42.4, d = 2.134 Å, intensity 89; 2θ 39.5, d = 2.279 Å, intensity 69; 2θ 65.8, d = 1.420 Å, intensity 68

Structure:
a b c (Å): 4.396 4.396 8.537
angles (deg): 90.00 90.00 120.00
Fractional positions:
Na (0.000, 0.000, 0.000)
La (0.000, 0.000, 0.546)
Te (0.333, 0.667, 0.778)
I (0.333, 0.667, 0.283)

# 12
LaNdSiI: calculated powder diffractogram (λ = 1.5418 Å (Cu Kα)), based on a crystal structure in Alexandria, relaxed with GGA-PBE.
Neutral-atom scattering factors, no anomalous dispersion.

Largest 12 diffraction maxima, in order of falling intensity, 2θ = 5–70°:
2θ 30.3, d = 2.949 Å, intensity 1000; 2θ 28.1, d = 3.174 Å, intensity 591; 2θ 41.8, d = 2.162 Å, intensity 496; 2θ 24.1, d = 3.699 Å, intensity 337; 2θ 54.7, d = 1.677 Å, intensity 258; 2θ 52.5, d = 1.743 Å, intensity 211; 2θ 44.9, d = 2.017 Å, intensity 188; 2θ 69.2, d = 1.357 Å, intensity 183; 2θ 33.7, d = 2.660 Å, intensity 172; 2θ 35.6, d = 2.525 Å, intensity 158; 2θ 24.9, d = 3.573 Å, intensity 155; 2θ 51.1, d = 1.787 Å, intensity 113

Structure:
a b c (Å): 8.360 8.360 8.360
angles (deg): 29.97 29.97 29.97
Fractional positions:
La (0.000, 0.000, 0.000)
Nd (0.799, 0.799, 0.799)
Si (0.401, 0.401, 0.401)
I (0.229, 0.229, 0.229)